[1]
# AcNd3HoEr
Simulated powder X-ray diffraction pattern, Cu Kα (weighted mean of Kα1 and Kα2). Input: a GGA-PBE-relaxed structure.

Atomic structure:
Lattice parameters (Å, degrees): 10.853 10.853 7.132 90.84 90.84 31.23
Fractional positions:
Ac (0.147, 0.147, 0.032)
Ac (0.853, 0.853, 0.968)
Nd (0.017, 0.017, 0.738)
Nd (0.281, 0.281, 0.725)
Nd (0.340, 0.340, 0.259)
Nd (0.660, 0.660, 0.741)
Nd (0.719, 0.719, 0.275)
Nd (0.983, 0.983, 0.262)
Ho (0.440, 0.440, 0.691)
Ho (0.560, 0.560, 0.309)
Er (0.143, 0.143, 0.487)
Er (0.857, 0.857, 0.513)

The 8 most intense peaks (5 to 70 degrees two-theta), sorted by position:
- 28.95 deg, I = 49
- 29.24 deg, I = 52
- 29.60 deg, I = 35
- 30.13 deg, I = 32
- 30.60 deg, I = 100
- 31.93 deg, I = 50
- 32.25 deg, I = 84
- 33.71 deg, I = 64



[2]
# K12RbNa2
Simulated powder X-ray diffraction pattern, Cu Kα (weighted mean of Kα1 and Kα2). Input: a GGA-PBE-relaxed structure.

Atomic structure:
Lattice parameters (Å, degrees): 8.287 8.287 33.275 90.00 90.00 90.00
Fractional positions:
K (0.001, 0.501, 0.115)
K (0.001, 0.999, 0.885)
K (0.069, 0.569, 0.439)
K (0.069, 0.931, 0.561)
K (0.250, 0.250, 0.215)
K (0.250, 0.250, 0.335)
K (0.250, 0.250, 0.665)
K (0.250, 0.250, 0.785)
K (0.431, 0.569, 0.561)
K (0.431, 0.931, 0.439)
K (0.499, 0.501, 0.885)
K (0.499, 0.999, 0.115)
K (0.501, 0.001, 0.885)
K (0.501, 0.499, 0.115)
K (0.569, 0.069, 0.561)
K (0.569, 0.431, 0.439)
K (0.750, 0.750, 0.215)
K (0.750, 0.750, 0.335)
K (0.750, 0.750, 0.665)
K (0.750, 0.750, 0.785)
K (0.931, 0.069, 0.439)
K (0.931, 0.431, 0.561)
K (0.999, 0.001, 0.115)
K (0.999, 0.499, 0.885)
Rb (0.250, 0.750, 0.000)
Rb (0.750, 0.250, 0.000)
Na (0.250, 0.750, 0.240)
Na (0.250, 0.750, 0.760)
Na (0.750, 0.250, 0.240)
Na (0.750, 0.250, 0.760)

The 8 most intense peaks (5 to 70 degrees two-theta), sorted by position:
- 16.03 deg, I = 47
- 22.91 deg, I = 39
- 24.03 deg, I = 100
- 24.11 deg, I = 30
- 25.33 deg, I = 41
- 30.51 deg, I = 43
- 39.24 deg, I = 40
- 50.49 deg, I = 29



Please write out number 2 again, unchanged.
# K12RbNa2
Simulated powder X-ray diffraction pattern, Cu Kα (weighted mean of Kα1 and Kα2). Input: a GGA-PBE-relaxed structure.

Atomic structure:
Lattice parameters (Å, degrees): 8.287 8.287 33.275 90.00 90.00 90.00
Fractional positions:
K (0.001, 0.501, 0.115)
K (0.001, 0.999, 0.885)
K (0.069, 0.569, 0.439)
K (0.069, 0.931, 0.561)
K (0.250, 0.250, 0.215)
K (0.250, 0.250, 0.335)
K (0.250, 0.250, 0.665)
K (0.250, 0.250, 0.785)
K (0.431, 0.569, 0.561)
K (0.431, 0.931, 0.439)
K (0.499, 0.501, 0.885)
K (0.499, 0.999, 0.115)
K (0.501, 0.001, 0.885)
K (0.501, 0.499, 0.115)
K (0.569, 0.069, 0.561)
K (0.569, 0.431, 0.439)
K (0.750, 0.750, 0.215)
K (0.750, 0.750, 0.335)
K (0.750, 0.750, 0.665)
K (0.750, 0.750, 0.785)
K (0.931, 0.069, 0.439)
K (0.931, 0.431, 0.561)
K (0.999, 0.001, 0.115)
K (0.999, 0.499, 0.885)
Rb (0.250, 0.750, 0.000)
Rb (0.750, 0.250, 0.000)
Na (0.250, 0.750, 0.240)
Na (0.250, 0.750, 0.760)
Na (0.750, 0.250, 0.240)
Na (0.750, 0.250, 0.760)

The 8 most intense peaks (5 to 70 degrees two-theta), sorted by position:
- 16.03 deg, I = 47
- 22.91 deg, I = 39
- 24.03 deg, I = 100
- 24.11 deg, I = 30
- 25.33 deg, I = 41
- 30.51 deg, I = 43
- 39.24 deg, I = 40
- 50.49 deg, I = 29



What did the second record say?
# K12RbNa2
Simulated powder X-ray diffraction pattern, Cu Kα (weighted mean of Kα1 and Kα2). Input: a GGA-PBE-relaxed structure.

Atomic structure:
Lattice parameters (Å, degrees): 8.287 8.287 33.275 90.00 90.00 90.00
Fractional positions:
K (0.001, 0.501, 0.115)
K (0.001, 0.999, 0.885)
K (0.069, 0.569, 0.439)
K (0.069, 0.931, 0.561)
K (0.250, 0.250, 0.215)
K (0.250, 0.250, 0.335)
K (0.250, 0.250, 0.665)
K (0.250, 0.250, 0.785)
K (0.431, 0.569, 0.561)
K (0.431, 0.931, 0.439)
K (0.499, 0.501, 0.885)
K (0.499, 0.999, 0.115)
K (0.501, 0.001, 0.885)
K (0.501, 0.499, 0.115)
K (0.569, 0.069, 0.561)
K (0.569, 0.431, 0.439)
K (0.750, 0.750, 0.215)
K (0.750, 0.750, 0.335)
K (0.750, 0.750, 0.665)
K (0.750, 0.750, 0.785)
K (0.931, 0.069, 0.439)
K (0.931, 0.431, 0.561)
K (0.999, 0.001, 0.115)
K (0.999, 0.499, 0.885)
Rb (0.250, 0.750, 0.000)
Rb (0.750, 0.250, 0.000)
Na (0.250, 0.750, 0.240)
Na (0.250, 0.750, 0.760)
Na (0.750, 0.250, 0.240)
Na (0.750, 0.250, 0.760)

The 8 most intense peaks (5 to 70 degrees two-theta), sorted by position:
- 16.03 deg, I = 47
- 22.91 deg, I = 39
- 24.03 deg, I = 100
- 24.11 deg, I = 30
- 25.33 deg, I = 41
- 30.51 deg, I = 43
- 39.24 deg, I = 40
- 50.49 deg, I = 29